Entry 1:
Computed X-ray powder pattern
Compound: Na4Pu3WN8
Radiation: λ = 1.5418 Å (Cu Kα)
Structure: a structure optimized by DFT (PBE)

Atomic structure:
a = 6.873 Å, b = 6.873 Å, c = 6.873 Å
α = 58.54°, β = 58.54°, γ = 58.54°
Positions (direct):
Na1 0.000 0.000 0.000
Na2 0.000 0.500 0.500
Na3 0.500 0.000 0.500
Na4 0.500 0.500 0.000
Pu1 0.000 0.000 0.500
Pu2 0.000 0.500 0.000
Pu3 0.500 0.000 0.000
W1 0.500 0.500 0.500
N1 0.229 0.229 0.229
N2 0.250 0.718 0.718
N3 0.282 0.282 0.750
N4 0.282 0.750 0.282
N5 0.718 0.250 0.718
N6 0.718 0.718 0.250
N7 0.750 0.282 0.282
N8 0.771 0.771 0.771

Top 6 peaks for 2θ = 10–80°, in order of rising 2θ:
15.62 deg, intensity 1000; 31.18 deg, intensity 500; 31.54 deg, intensity 223; 32.52 deg, intensity 582; 37.44 deg, intensity 601; 40.80 deg, intensity 218



Entry 2:
Computed X-ray powder pattern
Compound: Cs2Ga2HAu2
Radiation: λ = 1.5418 Å (Cu Kα)
Structure: a structure optimized by DFT (PBE)

Atomic structure:
a = 6.595 Å, b = 6.595 Å, c = 8.877 Å
α = 122.70°, β = 122.70°, γ = 43.42°
Positions (direct):
Cs1 0.057 0.057 0.321
Cs2 0.943 0.943 0.679
Ga1 0.308 0.308 0.873
Ga2 0.692 0.692 0.127
H1 0.500 0.500 0.000
Au1 0.257 0.257 0.132
Au2 0.743 0.743 0.868

Top 6 peaks for 2θ = 10–80°, in order of rising 2θ:
12.26 deg, intensity 747; 26.35 deg, intensity 739; 27.01 deg, intensity 728; 29.95 deg, intensity 1000; 30.41 deg, intensity 753; 36.84 deg, intensity 538



Entry 3:
Computed X-ray powder pattern
Compound: Sr2Ag2Ir
Radiation: λ = 1.5418 Å (Cu Kα)
Structure: a structure optimized by DFT (PBE)

Atomic structure:
a = 7.352 Å, b = 7.352 Å, c = 4.702 Å
α = 90.00°, β = 90.00°, γ = 90.00°
Positions (direct):
Sr1 0.184 0.316 0.000
Sr2 0.316 0.816 0.000
Sr3 0.684 0.184 0.000
Sr4 0.816 0.684 0.000
Ag1 0.134 0.634 0.500
Ag2 0.366 0.134 0.500
Ag3 0.634 0.866 0.500
Ag4 0.866 0.366 0.500
Ir1 0.000 0.000 0.500
Ir2 0.500 0.500 0.500

Top 6 peaks for 2θ = 10–80°, in order of rising 2θ:
18.87 deg, intensity 344; 30.88 deg, intensity 581; 33.25 deg, intensity 1000; 38.28 deg, intensity 359; 38.73 deg, intensity 574; 55.59 deg, intensity 396



Entry 4:
Computed X-ray powder pattern
Compound: Ce2DyIr
Radiation: λ = 1.5418 Å (Cu Kα)
Structure: a structure optimized by DFT (PBE)

Atomic structure:
a = 5.930 Å, b = 5.930 Å, c = 9.855 Å
α = 90.00°, β = 90.00°, γ = 142.94°
Positions (direct):
Ce1 0.138 0.862 0.557
Ce2 0.138 0.862 0.943
Ce3 0.862 0.138 0.057
Ce4 0.862 0.138 0.443
Dy1 0.419 0.581 0.750
Dy2 0.581 0.419 0.250
Ir1 0.292 0.708 0.250
Ir2 0.708 0.292 0.750

Top 6 peaks for 2θ = 10–80°, in order of rising 2θ:
30.91 deg, intensity 1000; 31.54 deg, intensity 357; 33.14 deg, intensity 457; 34.96 deg, intensity 794; 37.17 deg, intensity 491; 38.48 deg, intensity 501



Entry 5:
Computed X-ray powder pattern
Compound: LiTlIn2Hg5
Radiation: λ = 1.5418 Å (Cu Kα)
Structure: a structure optimized by DFT (PBE)

Atomic structure:
a = 8.788 Å, b = 8.788 Å, c = 8.788 Å
α = 146.35°, β = 136.62°, γ = 56.00°
Positions (direct):
Li1 0.000 0.000 0.000
Tl1 0.500 0.500 0.000
In1 0.191 0.691 0.500
In2 0.809 0.309 0.500
Hg1 0.000 0.500 0.500
Hg2 0.129 0.862 0.266
Hg3 0.404 0.138 0.266
Hg4 0.596 0.862 0.734
Hg5 0.871 0.138 0.734

Top 6 peaks for 2θ = 10–80°, in order of rising 2θ:
24.54 deg, intensity 817; 33.23 deg, intensity 1000; 33.83 deg, intensity 418; 35.28 deg, intensity 453; 36.07 deg, intensity 567; 51.34 deg, intensity 421